(1)
Structure and computed powder XRD pattern of Ba7Fe6S14 (a GGA-PBE-relaxed structure; copper Kα).
Intensities are scaled so that the largest is 100.

Structure:
Lattice parameters (Å, degrees): 25.705 8.252 15.013 90.00 119.00 90.00
Space group C2/c (No. 15)
Asymmetric unit:
Ba 0.000 0.179 0.250 [4 per cell]
Ba 0.011 0.286 0.575 [8 per cell]
Ba 0.175 0.042 0.234 [8 per cell]
Ba 0.181 0.463 0.875 [8 per cell]
Fe 0.135 0.236 0.514 [8 per cell]
Fe 0.137 0.070 0.950 [8 per cell]
Fe 0.138 0.452 0.088 [8 per cell]
S 0.071 0.031 0.499 [8 per cell]
S 0.075 0.448 0.424 [8 per cell]
S 0.086 0.148 0.789 [8 per cell]
S 0.087 0.357 0.165 [8 per cell]
S 0.192 0.324 0.679 [8 per cell]
S 0.194 0.142 0.451 [8 per cell]
S 0.199 0.259 0.069 [8 per cell]

The 6 most intense peaks (5° ≤ 2θ ≤ 70°), by angle:
2theta  I (rel.)  hkl
23.0  100  2 2 0
23.7  86  6 0 0
25.0  57  1 1 3
26.9  74  5 1 -4
27.5  58  7 1 -3
30.2  95  6 2 -2



(2)
Structure and computed powder XRD pattern of Ba5Fe4S11 (a GGA-PBE-relaxed structure; copper Kα).
Intensities are scaled so that the largest is 100.

Structure:
Lattice parameters (Å, degrees): 15.849 7.252 8.926 90.00 90.00 90.00
Space group Pmn2_1 (No. 31)
Asymmetric unit:
Ba 0.000 0.009 0.000 [2 per cell]
Ba 0.175 0.527 0.242 [4 per cell]
Ba 0.196 0.988 0.618 [4 per cell]
Fe 0.000 0.065 0.390 [2 per cell]
Fe 0.000 0.379 0.580 [2 per cell]
Fe 0.105 0.509 0.847 [4 per cell]
S 0.000 0.075 0.645 [2 per cell]
S 0.000 0.367 0.333 [2 per cell]
S 0.000 0.559 0.006 [2 per cell]
S 0.119 0.949 0.291 [4 per cell]
S 0.125 0.522 0.599 [4 per cell]
S 0.171 0.256 0.928 [4 per cell]
S 0.186 0.747 0.913 [4 per cell]

The 6 most intense peaks (5° ≤ 2θ ≤ 70°), by angle:
2theta  I (rel.)  hkl
23.1  100  3 1 1
24.6  91  0 2 0
31.6  47  3 2 1
32.4  72  5 1 1
33.8  48  2 2 2
34.6  45  3 0 3



(3)
Structure and computed powder XRD pattern of Ba2FeSbSe5 (a GGA-PBE-relaxed structure; copper Kα).
Intensities are scaled so that the largest is 100.

Structure:
Lattice parameters (Å, degrees): 12.748 9.193 9.305 90.00 90.00 90.00
Space group Pnma (No. 62)
Asymmetric unit:
Ba 0.175 0.008 0.123 [8 per cell]
Fe 0.097 0.750 0.832 [4 per cell]
Sb 0.026 0.750 0.488 [4 per cell]
Se 0.007 0.250 0.960 [4 per cell]
Se 0.058 0.540 0.685 [8 per cell]
Se 0.217 0.750 0.383 [4 per cell]
Se 0.222 0.250 0.391 [4 per cell]

The 6 most intense peaks (5° ≤ 2θ ≤ 70°), by angle:
2theta  I (rel.)  hkl
27.3  19  0 2 2
28.2  100  1 2 2
29.6  42  4 0 1
30.2  23  3 2 1
30.7  21  2 2 2
39.2  28  0 4 0



(4)
Structure and computed powder XRD pattern of Ba2ScFe (a GGA-PBE-relaxed structure; copper Kα).
Intensities are scaled so that the largest is 100.

Structure:
Lattice parameters (Å, degrees): 7.703 7.703 7.703 90.00 90.00 90.00
Space group F-43m (No. 216)
Asymmetric unit:
Ba 0.000 0.000 0.000 [4 per cell]
Ba 0.250 0.250 0.250 [4 per cell]
Sc 0.000 0.000 0.500 [4 per cell]
Fe 0.250 0.250 0.750 [4 per cell]

The 6 most intense peaks (5° ≤ 2θ ≤ 70°), by angle:
2theta  I (rel.)  hkl
20.0  21  1 1 1
32.9  100  2 2 0
38.8  12  3 1 1
47.2  18  4 0 0
58.7  36  4 2 2
69.0  11  4 4 0



(5)
Structure and computed powder XRD pattern of Ba2FeSe3 (a GGA-PBE-relaxed structure; copper Kα).
Intensities are scaled so that the largest is 100.

Structure:
Lattice parameters (Å, degrees): 9.106 4.492 17.786 90.00 90.00 90.00
Space group Pnma (No. 62)
Asymmetric unit:
Ba 0.089 0.250 0.211 [4 per cell]
Ba 0.242 0.750 0.455 [4 per cell]
Fe 0.132 0.250 0.635 [4 per cell]
Se 0.011 0.750 0.605 [4 per cell]
Se 0.132 0.750 0.070 [4 per cell]
Se 0.174 0.250 0.772 [4 per cell]

The 6 most intense peaks (5° ≤ 2θ ≤ 70°), by angle:
2theta  I (rel.)  hkl
26.9  41  1 0 5
28.4  72  2 1 1
29.7  100  2 1 2
29.9  54  1 1 4
33.6  40  1 1 5
40.1  59  0 2 0



(6)
Structure and computed powder XRD pattern of Ba3Fe3Se7 (a GGA-PBE-relaxed structure; copper Kα).
Intensities are scaled so that the largest is 100.

Structure:
Lattice parameters (Å, degrees): 10.9873 10.9873 7.3259 90.00 90.00 120.00
Space group P6_3mc (No. 186)
Asymmetric unit:
Ba 0.1862 0.3724 0.0000 [6 per cell]
Fe 0.2545 0.5090 0.4843 [6 per cell]
Se 0.0889 0.5444 0.3110 [6 per cell]
Se 0.1365 0.2730 0.5714 [6 per cell]
Se 0.3333 0.6667 0.7438 [2 per cell]

The 6 most intense peaks (5° ≤ 2θ ≤ 70°), by angle:
2theta  I (rel.)  hkl
18.7  28  2 0 0
27.6  52  2 1 1
30.8  100  2 0 2
32.6  47  2 2 0
35.0  34  2 1 2
45.4  41  4 1 1



(7)
Structure and computed powder XRD pattern of BaGdZn3GaO7 (a GGA-PBE-relaxed structure; copper Kα).
Intensities are scaled so that the largest is 100.

Structure:
Lattice parameters (Å, degrees): 6.3950 6.3950 10.3411 90.00 90.00 120.00
Space group P6_3 (No. 173)
Asymmetric unit:
Ba 0.3333 0.6667 0.0000 [2 per cell]
Gd 0.3333 0.6667 0.3511 [2 per cell]
Zn 0.1706 0.3414 0.6653 [6 per cell]
Ga 0.0000 0.0000 0.4150 [2 per cell]
O 0.0000 0.0000 0.2335 [2 per cell]
O 0.0147 0.5073 0.2144 [6 per cell]
O 0.1575 0.3168 0.4724 [6 per cell]

The 6 most intense peaks (5° ≤ 2θ ≤ 70°), by angle:
2theta  I (rel.)  hkl
27.9  53  1 1 0
30.5  100  1 0 3
32.9  87  1 1 2
33.5  87  2 0 1
51.0  45  2 1 3
57.7  41  2 2 0



(8)
Structure and computed powder XRD pattern of BaNdGaO4 (a GGA-PBE-relaxed structure; copper Kα).
Intensities are scaled so that the largest is 100.

Structure:
Lattice parameters (Å, degrees): 5.848 7.086 9.941 90.00 90.00 90.00
Space group P2_12_12_1 (No. 19)
Asymmetric unit:
Ba 0.004 0.080 0.421 [4 per cell]
Nd 0.012 0.249 0.799 [4 per cell]
Ga 0.012 0.537 0.418 [4 per cell]
O 0.001 0.900 0.922 [4 per cell]
O 0.174 0.750 0.474 [4 per cell]
O 0.242 0.446 0.302 [4 per cell]
O 0.246 0.984 0.184 [4 per cell]

The 6 most intense peaks (5° ≤ 2θ ≤ 70°), by angle:
2theta  I (rel.)  hkl
26.7  41  1 1 2
29.5  19  1 2 0
30.6  52  2 0 0
30.8  81  1 2 1
31.0  100  1 0 3
44.1  36  2 2 2



(9)
Structure and computed powder XRD pattern of BaNdZn3GaO7 (a GGA-PBE-relaxed structure; copper Kα).
Intensities are scaled so that the largest is 100.

Structure:
Lattice parameters (Å, degrees): 6.4454 6.4454 10.4850 90.00 90.00 120.00
Space group P6_3 (No. 173)
Asymmetric unit:
Ba 0.3333 0.6667 0.0000 [2 per cell]
Nd 0.3333 0.6667 0.3487 [2 per cell]
Zn 0.1695 0.3393 0.6613 [6 per cell]
Ga 0.0000 0.0000 0.4118 [2 per cell]
O 0.0000 0.0000 0.2315 [2 per cell]
O 0.0125 0.5060 0.2053 [6 per cell]
O 0.1550 0.3114 0.4706 [6 per cell]

The 6 most intense peaks (5° ≤ 2θ ≤ 70°), by angle:
2theta  I (rel.)  hkl
27.7  52  1 1 0
30.2  100  1 0 3
32.6  87  1 1 2
33.2  91  2 0 1
50.5  45  2 1 3
57.2  41  2 2 0